(1)
Starting from a crystal structure in Alexandria, relaxed with PBE, the X-ray powder pattern of CeNd14Sc was simulated for Cu Kα (λ = 1.5418 Å).

Top 8 peaks for 2θ from 5° to 70°, most intense first:
- 2θ = 30.0°, I = 100
- 2θ = 34.8°, I = 51
- 2θ = 50.0°, I = 36
- 2θ = 59.4°, I = 28
- 2θ = 59.5°, I = 14
- 2θ = 62.4°, I = 12
- 2θ = 25.9°, I = 1
- 2θ = 14.9°, I = 1

Atomic structure:
Unit cell a=10.3261 b=7.2860 c=7.2860 alpha=89.99 beta=90.00 gamma=90.00
Sites, in units of the cell vectors:
Ce: 0.0000 0.0000 0.0000
Nd: 0.0000 0.9998 0.5007
Nd: 0.0000 0.5007 0.9998
Nd: 0.2436 0.2516 0.2516
Nd: 0.2441 0.2517 0.7486
Nd: 0.2441 0.7486 0.2517
Nd: 0.2447 0.7486 0.7486
Nd: 0.5000 0.0004 0.0004
Nd: 0.5000 0.0004 0.4998
Nd: 0.5000 0.4998 0.0004
Nd: 0.5000 0.4998 0.4998
Nd: 0.7553 0.7486 0.7486
Nd: 0.7564 0.2516 0.2516
Nd: 0.7559 0.2517 0.7486
Nd: 0.7559 0.7486 0.2517
Sc: 0.0000 0.5005 0.5005



(2)
Starting from a crystal structure in Alexandria, relaxed with PBE, the X-ray powder pattern of CeNdSe2 was simulated for Cu Kα (λ = 1.5418 Å).

Top 7 peaks for 2θ from 5° to 70°, most intense first:
- 2θ = 30.0°, I = 100
- 2θ = 42.9°, I = 75
- 2θ = 53.2°, I = 26
- 2θ = 25.9°, I = 15
- 2θ = 62.3°, I = 12
- 2θ = 50.8°, I = 7
- 2θ = 68.6°, I = 3

Atomic structure:
Unit cell a=7.3058 b=7.3058 c=7.3058 alpha=131.81 beta=131.81 gamma=70.52
Sites, in units of the cell vectors:
Ce: 0.3750 0.6250 0.7500
Ce: 0.6250 0.3750 0.2500
Nd: 0.1250 0.8750 0.2500
Nd: 0.8750 0.1250 0.7500
Se: 0.1260 0.3760 0.7500
Se: 0.3760 0.1260 0.2500
Se: 0.6240 0.8740 0.7500
Se: 0.8740 0.6240 0.2500